DyYIn2Ni4: computed XRD peak list (CuKα), based on a structure optimized by DFT (PBE).
Peak positions follow from Bragg's law for the DFT cell and can differ from measured ones.

The 12 most intense peaks (2θ from 10° to 90°), by intensity:
d [Å]  Rel. int.
2.875  100
2.344  80
2.001  40
2.060  39
2.557  35
2.126  34
2.638  28
2.066  27
1.457  19
2.019  17
1.437  16
1.432  16

Crystal structure
Lattice parameters (Å, degrees): 4.0030 5.1137 7.0125 90.00 90.00 90.00
Positions (direct):
Dy 0.0000 0.0000 0.0000
Y 0.0000 0.5000 0.5359
In 0.5000 0.0000 0.6208
In 0.5000 0.5000 0.9113
Ni 0.0000 0.0000 0.3780
Ni 0.0000 0.5000 0.1533
Ni 0.5000 0.2500 0.2654
Ni 0.5000 0.7500 0.2654



AlZnGaTeSe3: computed XRD peak list (CuKα), based on a structure optimized by DFT (PBE).
Peak positions follow from Bragg's law for the DFT cell and can differ from measured ones.

The 12 most intense peaks (2θ from 10° to 90°), by intensity:
d [Å]  Rel. int.
3.303  100
3.324  48
3.241  40
2.047  22
2.031  21
2.019  21
1.707  20
2.000  19
2.005  19
1.995  18
5.083  14
1.715  13

Crystal structure
Lattice parameters (Å, degrees): 5.7223 5.7418 6.8658 113.28 113.62 91.18
Positions (direct):
Al 0.0000 0.0000 0.0000
Zn 0.5169 0.4807 0.9977
Ga 0.7437 0.2233 0.4855
Te 0.1374 0.6258 0.7189
Se 0.3725 0.3672 0.2553
Se 0.6188 0.0917 0.7378
Se 0.8961 0.8644 0.2552



GdErSi2Au2: computed XRD peak list (CuKα), based on a structure optimized by DFT (PBE).
Peak positions follow from Bragg's law for the DFT cell and can differ from measured ones.

The 12 most intense peaks (2θ from 10° to 90°), by intensity:
d [Å]  Rel. int.
2.674  100
2.163  56
3.363  53
1.431  27
1.681  25
1.327  23
2.105  17
1.909  11
1.249  10
1.819  10
1.392  8
1.205  8

Crystal structure
Lattice parameters (Å, degrees): 4.3253 4.3253 7.6345 90.00 90.00 120.00
Positions (direct):
Gd 0.0000 0.0000 0.0000
Er 0.0000 0.0000 0.4987
Si 0.3333 0.6667 0.2271
Si 0.6667 0.3333 0.7201
Au 0.3333 0.6667 0.7569
Au 0.6667 0.3333 0.2746



BaLiP2Os: computed XRD peak list (CuKα), based on a structure optimized by DFT (PBE).
Peak positions follow from Bragg's law for the DFT cell and can differ from measured ones.

The 12 most intense peaks (2θ from 10° to 90°), by intensity:
d [Å]  Rel. int.
3.855  100
2.876  80
2.599  78
1.660  62
2.031  31
2.094  27
3.055  26
1.797  25
1.691  19
1.257  16
1.458  14
6.111  12

Crystal structure
Lattice parameters (Å, degrees): 6.7521 6.7521 6.7521 144.99 144.99 50.35
Positions (direct):
Ba 0.0000 0.0000 0.0000
Li 0.2500 0.7500 0.5000
P 0.3448 0.3448 0.0000
P 0.6552 0.6552 0.0000
Os 0.7500 0.2500 0.5000



Co3Mo3N: computed XRD peak list (CuKα), based on a structure optimized by DFT (PBE).
Peak positions follow from Bragg's law for the DFT cell and can differ from measured ones.

The 12 most intense peaks (2θ from 10° to 90°), by intensity:
d [Å]  Rel. int.
2.123  100
1.950  47
2.251  42
1.300  34
1.108  17
2.530  15
1.347  10
2.757  9
1.274  9
1.436  9
1.838  8
1.544  6

Crystal structure
Lattice parameters (Å, degrees): 7.7989 7.7989 7.7989 60.00 60.00 60.00
Positions (direct):
Co 0.0000 0.0000 0.0000
Co 0.0000 0.0000 0.5000
Co 0.0000 0.5000 0.0000
Co 0.1164 0.7945 0.7945
Co 0.2055 0.2055 0.2055
Co 0.2055 0.2055 0.8836
Co 0.2055 0.8836 0.2055
Co 0.5000 0.0000 0.0000
Co 0.7945 0.1164 0.7945
Co 0.7945 0.7945 0.1164
Co 0.7945 0.7945 0.7945
Co 0.8836 0.2055 0.2055
Mo 0.1730 0.1730 0.5770
Mo 0.1730 0.5770 0.1730
Mo 0.1730 0.5770 0.5770
Mo 0.4230 0.4230 0.8270
Mo 0.4230 0.8270 0.4230
Mo 0.4230 0.8270 0.8270
Mo 0.5770 0.1730 0.1730
Mo 0.5770 0.1730 0.5770
Mo 0.5770 0.5770 0.1730
Mo 0.8270 0.4230 0.4230
Mo 0.8270 0.4230 0.8270
Mo 0.8270 0.8270 0.4230
N 0.0000 0.5000 0.5000
N 0.5000 0.0000 0.5000
N 0.5000 0.5000 0.0000
N 0.5000 0.5000 0.5000



Li2Hf2Ga2PdPt: computed XRD peak list (CuKα), based on a structure optimized by DFT (PBE).
Peak positions follow from Bragg's law for the DFT cell and can differ from measured ones.

The 12 most intense peaks (2θ from 10° to 90°), by intensity:
d [Å]  Rel. int.
2.226  100
3.635  48
1.285  34
1.898  24
1.574  17
1.113  11
1.445  10
1.212  8
3.148  7
1.408  2
6.297  2
4.452  2

Crystal structure
Lattice parameters (Å, degrees): 4.4521 4.4521 6.2970 90.00 90.00 90.00
Positions (direct):
Li 0.0000 0.0000 0.0000
Li 0.5000 0.5000 0.5000
Hf 0.0000 0.5000 0.2501
Hf 0.5000 0.0000 0.7499
Ga 0.0000 0.5000 0.7494
Ga 0.5000 0.0000 0.2506
Pd 0.0000 0.0000 0.5000
Pt 0.5000 0.5000 0.0000



ZrTaNi: computed XRD peak list (CuKα), based on a structure optimized by DFT (PBE).
Peak positions follow from Bragg's law for the DFT cell and can differ from measured ones.

The 12 most intense peaks (2θ from 10° to 90°), by intensity:
d [Å]  Rel. int.
2.479  100
2.013  28
1.976  20
1.447  19
2.200  17
1.289  15
1.476  15
2.521  13
1.151  11
1.346  9
3.952  9
1.137  6

Crystal structure
Lattice parameters (Å, degrees): 5.1590 5.1590 5.1590 121.49 103.83 103.80
Positions (direct):
Zr 0.1596 0.2500 0.4096
Zr 0.8404 0.7500 0.5904
Ta 0.1600 0.5697 0.0904
Ta 0.4793 0.0697 0.9096
Ni 0.6552 0.1552 0.5000
Ni 0.6552 0.6552 0.0000



CsErBeTe3: computed XRD peak list (CuKα), based on a structure optimized by DFT (PBE).
Peak positions follow from Bragg's law for the DFT cell and can differ from measured ones.

The 12 most intense peaks (2θ from 10° to 90°), by intensity:
d [Å]  Rel. int.
3.298  100
3.440  83
8.641  63
3.522  61
2.440  51
4.808  51
2.830  39
2.376  38
1.871  37
2.145  33
1.920  32
2.691  31

Crystal structure
Lattice parameters (Å, degrees): 8.9030 8.9030 11.5725 90.00 90.00 152.12
Positions (direct):
Cs 0.2407 0.7593 0.7500
Cs 0.7593 0.2407 0.2500
Er 0.5000 0.5000 0.0000
Er 0.5000 0.5000 0.5000
Be 0.0370 0.9630 0.2500
Be 0.9630 0.0370 0.7500
Te 0.1160 0.8840 0.0715
Te 0.1160 0.8840 0.4285
Te 0.4478 0.5522 0.2500
Te 0.5522 0.4478 0.7500
Te 0.8840 0.1160 0.5715
Te 0.8840 0.1160 0.9285



Li4Ir4O11: computed XRD peak list (CuKα), based on a structure optimized by DFT (PBE).
Peak positions follow from Bragg's law for the DFT cell and can differ from measured ones.

The 12 most intense peaks (2θ from 10° to 90°), by intensity:
d [Å]  Rel. int.
3.604  100
3.652  99
3.585  90
2.563  77
2.556  69
2.575  37
2.518  35
1.623  22
1.627  21
2.067  20
1.610  20
2.079  19

Crystal structure
Lattice parameters (Å, degrees): 5.0365 5.1315 7.3046 89.74 89.66 89.69
Positions (direct):
Li 0.0000 0.0000 0.0000
Li 0.0056 0.1026 0.4934
Li 0.5031 0.5976 0.4959
Li 0.5133 0.4897 0.9937
Ir 0.0054 0.5442 0.2505
Ir 0.4996 0.0622 0.7490
Ir 0.5053 0.0408 0.2512
Ir 0.9975 0.5573 0.7491
O 0.1351 0.4934 0.5036
O 0.1653 0.2293 0.8206
O 0.1714 0.2123 0.1851
O 0.3352 0.7165 0.1691
O 0.3710 0.9835 0.5058
O 0.6223 0.4285 0.7208
O 0.6344 0.1052 0.0020
O 0.6769 0.3662 0.3297
O 0.8343 0.8696 0.3219
O 0.8385 0.8959 0.6860
O 0.8753 0.6098 0.0033



Zn: computed XRD peak list (CuKα), based on a structure optimized by DFT (PBE).
Peak positions follow from Bragg's law for the DFT cell and can differ from measured ones.

The 12 most intense peaks (2θ from 10° to 90°), by intensity:
d [Å]  Rel. int.
2.132  100
2.186  92
2.181  87
2.054  41
2.107  31
1.287  30
2.066  22
1.267  21
1.240  17
2.519  16
1.127  15
1.993  13

Crystal structure
Lattice parameters (Å, degrees): 6.6377 6.6377 5.1557 99.18 99.18 70.04
Positions (direct):
Zn 0.0000 0.0000 0.0000
Zn 0.0000 0.0000 0.5000
Zn 0.0035 0.6415 0.1952
Zn 0.2235 0.6087 0.6774
Zn 0.2241 0.2241 0.3632
Zn 0.3585 0.9965 0.8048
Zn 0.3912 0.3912 0.0817
Zn 0.3913 0.7765 0.3226
Zn 0.6087 0.2235 0.6774
Zn 0.6088 0.6088 0.9183
Zn 0.6415 0.0035 0.1952
Zn 0.7759 0.7759 0.6368
Zn 0.7765 0.3913 0.3226
Zn 0.9965 0.3585 0.8048



NdHIBr: computed XRD peak list (CuKα), based on a structure optimized by DFT (PBE).
Peak positions follow from Bragg's law for the DFT cell and can differ from measured ones.

The 12 most intense peaks (2θ from 10° to 90°), by intensity:
d [Å]  Rel. int.
2.609  100
3.209  72
7.760  58
2.913  51
2.035  50
3.437  50
1.404  24
1.605  23
1.260  20
1.599  17
1.877  16
2.085  14

Crystal structure
Lattice parameters (Å, degrees): 4.0703 4.0703 15.5195 90.00 90.00 120.00
Positions (direct):
Nd 0.0000 0.0000 0.0000
Nd 0.0000 0.0000 0.5000
H 0.3333 0.6667 0.0000
H 0.6667 0.3333 0.5000
I 0.3333 0.6667 0.3593
I 0.3333 0.6667 0.6407
Br 0.6667 0.3333 0.1240
Br 0.6667 0.3333 0.8760



Pd3Au4: computed XRD peak list (CuKα), based on a structure optimized by DFT (PBE).
Peak positions follow from Bragg's law for the DFT cell and can differ from measured ones.

The 12 most intense peaks (2θ from 10° to 90°), by intensity:
d [Å]  Rel. int.
2.239  100
1.293  31
3.167  22
1.583  16
1.120  10
1.416  8
3.385  6
1.828  6
2.313  5
2.055  4
1.208  3
1.366  3

Crystal structure
Lattice parameters (Å, degrees): 10.9697 10.9697 10.9697 109.47 109.47 109.47
Positions (direct):
Pd 0.0073 0.0146 0.7573
Pd 0.0073 0.4927 0.2500
Pd 0.0146 0.7573 0.0073
Pd 0.2427 0.7500 0.2573
Pd 0.2427 0.9927 0.9854
Pd 0.2500 0.0073 0.4927
Pd 0.2500 0.7427 0.7573
Pd 0.2573 0.2427 0.7500
Pd 0.2573 0.5146 0.5073
Pd 0.4854 0.4927 0.7427
Pd 0.4927 0.2500 0.0073
Pd 0.4927 0.7427 0.4854
Pd 0.5073 0.2573 0.5146
Pd 0.5073 0.7500 0.9927
Pd 0.5146 0.5073 0.2573
Pd 0.7427 0.4854 0.4927
Pd 0.7427 0.7573 0.2500
Pd 0.7500 0.2573 0.2427
Pd 0.7500 0.9927 0.5073
Pd 0.7573 0.0073 0.0146
Pd 0.7573 0.2500 0.7427
Pd 0.9854 0.2427 0.9927
Pd 0.9927 0.5073 0.7500
Pd 0.9927 0.9854 0.2427
Au 0.0000 0.0000 0.0000
Au 0.0000 0.0000 0.5000
Au 0.0000 0.5000 0.0000
Au 0.0000 0.5000 0.5000
Au 0.0139 0.2500 0.2639
Au 0.0139 0.2639 0.7500
Au 0.2361 0.2500 0.4861
Au 0.2361 0.4861 0.7500
Au 0.2500 0.2639 0.0139
Au 0.2500 0.4861 0.2361
Au 0.2500 0.7639 0.5139
Au 0.2500 0.9861 0.7361
Au 0.2639 0.0139 0.2500
Au 0.2639 0.7500 0.0139
Au 0.4861 0.2361 0.2500
Au 0.4861 0.7500 0.2361
Au 0.5000 0.0000 0.0000
Au 0.5000 0.0000 0.5000
Au 0.5000 0.5000 0.0000
Au 0.5000 0.5000 0.5000
Au 0.5139 0.2500 0.7639
Au 0.5139 0.7639 0.7500
Au 0.7361 0.2500 0.9861
Au 0.7361 0.9861 0.7500
Au 0.7500 0.0139 0.2639
Au 0.7500 0.2361 0.4861
Au 0.7500 0.5139 0.7639
Au 0.7500 0.7361 0.9861
Au 0.7639 0.5139 0.2500
Au 0.7639 0.7500 0.5139
Au 0.9861 0.7361 0.2500
Au 0.9861 0.7500 0.7361



- Number 7 is which compound?
  ZrTaNi